# 1
Simulated powder diffraction line list of PrErTl2 for a wavelength of 1.5418 Å, from a structure optimized by DFT (PBE).

Peak list (6 most intense, 2θ = 10–90°, in order of rising 2θ)
| 2θ (°) | intensity |
| --- | --- |
| 32.81 | 1000 |
| 47.08 | 185 |
| 58.57 | 388 |
| 68.78 | 120 |
| 78.32 | 168 |
| 87.54 | 44 |

Crystal structure
```
4
Lattice="0.0000 3.8603 3.8603 3.8603 0.0000 3.8603 3.8603 3.8603 0.0000" Properties=species:S:1:pos:R:3 pbc="T T T"
Pr 0.0000 0.0000 0.0000
Er 3.8603 3.8603 3.8603
Tl 1.9302 1.9302 1.9302
Tl 5.7905 5.7905 5.7905
```

=====

# 2
Simulated powder diffraction line list of MgSi2 for a wavelength of 1.5418 Å, from a structure optimized by DFT (PBE).

Peak list (6 most intense, 2θ = 10–90°, in order of rising 2θ)
| 2θ (°) | intensity |
| --- | --- |
| 18.66 | 230 |
| 38.09 | 401 |
| 38.61 | 1000 |
| 39.26 | 383 |
| 40.16 | 701 |
| 53.45 | 186 |

Crystal structure
```
3
Lattice="5.0102 -1.5904 0.0000 5.0102 1.5904 0.0000 -1.0786 0.0000 3.2560" Properties=species:S:1:pos:R:3 pbc="T T T"
Mg 0.0000 0.0000 0.0000
Si 2.7099 0.0000 0.9715
Si 6.2320 0.0000 2.2845
```